# 1
Structure and simulated powder diffraction line list of La2Tb5Y6 (a crystal structure in Alexandria, relaxed with PBE; λ = 1.5418 Å (Cu Kα)).
Intensities are scaled so that the largest is 1000.

Atomic structure:
Cell lengths 11.828, 20.426, 3.607 Å; angles 90.00, 90.00, 90.00 degrees
Positions (direct):
La 0.166 0.219 0.000
La 0.334 0.719 0.000
La 0.666 0.281 0.000
La 0.834 0.781 0.000
Tb 0.000 0.500 0.500
Tb 0.096 0.780 0.500
Tb 0.201 0.051 0.500
Tb 0.299 0.551 0.500
Tb 0.404 0.280 0.500
Tb 0.500 0.000 0.500
Tb 0.596 0.720 0.500
Tb 0.701 0.449 0.500
Tb 0.799 0.949 0.500
Tb 0.904 0.220 0.500
Y 0.058 0.923 0.000
Y 0.079 0.636 0.000
Y 0.180 0.377 0.500
Y 0.320 0.877 0.500
Y 0.421 0.136 0.000
Y 0.442 0.423 0.000
Y 0.558 0.577 0.000
Y 0.579 0.864 0.000
Y 0.680 0.123 0.500
Y 0.820 0.623 0.500
Y 0.921 0.364 0.000
Y 0.942 0.077 0.000

Main lines, in order of falling intensity (2θ from 10° to 90°):
| 2θ/deg | I/Imax |
| --- | --- |
| 31.55 | 1000 |
| 31.90 | 925 |
| 31.29 | 508 |
| 30.55 | 476 |
| 33.99 | 346 |
| 60.88 | 312 |
| 34.82 | 268 |
| 36.24 | 255 |

=====

# 2
Structure and simulated powder diffraction line list of Nd4Er11S22 (a crystal structure in Alexandria, relaxed with PBE; λ = 1.5418 Å (Cu Kα)).
Intensities are scaled so that the largest is 1000.

Atomic structure:
Cell lengths 19.642, 19.642, 11.334 Å; angles 91.67, 91.67, 11.50 degrees
Positions (direct):
Nd 0.105 0.105 0.012
Nd 0.368 0.368 0.349
Nd 0.632 0.632 0.651
Nd 0.895 0.895 0.988
Er 0.000 0.000 0.000
Er 0.070 0.070 0.359
Er 0.202 0.202 0.942
Er 0.265 0.265 0.353
Er 0.342 0.342 0.699
Er 0.461 0.461 0.269
Er 0.539 0.539 0.731
Er 0.658 0.658 0.301
Er 0.735 0.735 0.647
Er 0.798 0.798 0.058
Er 0.930 0.930 0.641
S 0.008 0.008 0.241
S 0.088 0.088 0.755
S 0.135 0.135 0.453
S 0.169 0.169 0.150
S 0.188 0.188 0.691
S 0.255 0.255 0.120
S 0.279 0.279 0.592
S 0.350 0.350 0.093
S 0.407 0.407 0.789
S 0.442 0.442 0.491
S 0.453 0.453 0.030
S 0.547 0.547 0.970
S 0.558 0.558 0.509
S 0.593 0.593 0.211
S 0.650 0.650 0.907
S 0.721 0.721 0.408
S 0.745 0.745 0.880
S 0.812 0.812 0.309
S 0.831 0.831 0.850
S 0.865 0.865 0.547
S 0.912 0.912 0.245
S 0.992 0.992 0.759

Main lines, in order of falling intensity (2θ from 10° to 90°):
| 2θ/deg | I/Imax |
| --- | --- |
| 24.32 | 1000 |
| 23.56 | 804 |
| 27.72 | 640 |
| 31.53 | 636 |
| 26.44 | 586 |
| 33.99 | 571 |
| 42.22 | 547 |
| 27.35 | 491 |

=====

# 3
Structure and simulated powder diffraction line list of MgSc3Fe (a crystal structure in Alexandria, relaxed with PBE; λ = 1.5418 Å (Cu Kα)).
Intensities are scaled so that the largest is 1000.

Atomic structure:
Cell lengths 8.913, 3.110, 7.434 Å; angles 90.00, 90.00, 90.00 degrees
Positions (direct):
Mg 0.250 0.000 0.078
Mg 0.750 0.000 0.922
Sc 0.041 0.500 0.781
Sc 0.250 0.500 0.452
Sc 0.459 0.500 0.781
Sc 0.541 0.500 0.219
Sc 0.750 0.500 0.548
Sc 0.959 0.500 0.219
Fe 0.000 0.000 0.500
Fe 0.500 0.000 0.500

Main lines, in order of falling intensity (2θ from 10° to 90°):
| 2θ/deg | I/Imax |
| --- | --- |
| 37.27 | 1000 |
| 11.90 | 852 |
| 43.01 | 783 |
| 37.70 | 512 |
| 40.48 | 311 |
| 19.92 | 302 |
| 32.45 | 285 |
| 36.25 | 246 |

=====

# 4
Structure and simulated powder diffraction line list of Ac6SiGe2 (a crystal structure in Alexandria, relaxed with PBE; λ = 1.5418 Å (Cu Kα)).
Intensities are scaled so that the largest is 1000.

Atomic structure:
Cell lengths 8.682, 8.682, 4.751 Å; angles 90.00, 90.00, 120.00 degrees
Positions (direct):
Ac 0.077 0.372 0.244
Ac 0.295 0.923 0.244
Ac 0.372 0.295 0.756
Ac 0.628 0.705 0.244
Ac 0.705 0.077 0.756
Ac 0.923 0.628 0.756
Si 0.000 0.000 0.500
Ge 0.333 0.667 0.733
Ge 0.667 0.333 0.267

Main lines, in order of falling intensity (2θ from 10° to 90°):
| 2θ/deg | I/Imax |
| --- | --- |
| 27.84 | 1000 |
| 30.32 | 436 |
| 31.48 | 393 |
| 56.78 | 244 |
| 35.83 | 226 |
| 50.04 | 214 |
| 53.11 | 179 |
| 43.40 | 171 |

=====

# 5
Structure and simulated powder diffraction line list of Cs2SrCdSb2 (a crystal structure in Alexandria, relaxed with PBE; λ = 1.5418 Å (Cu Kα)).
Intensities are scaled so that the largest is 1000.

Atomic structure:
Cell lengths 10.361, 10.361, 10.361 Å; angles 136.95, 63.17, 136.10 degrees
Positions (direct):
Cs 0.177 0.231 0.408
Cs 0.323 0.731 0.054
Cs 0.677 0.269 0.946
Cs 0.823 0.769 0.592
Sr 0.250 0.750 0.500
Sr 0.750 0.250 0.500
Cd 0.250 0.250 0.000
Cd 0.750 0.750 0.000
Sb 0.093 0.776 0.869
Sb 0.407 0.276 0.683
Sb 0.593 0.724 0.317
Sb 0.907 0.224 0.131

Main lines, in order of falling intensity (2θ from 10° to 90°):
| 2θ/deg | I/Imax |
| --- | --- |
| 26.03 | 1000 |
| 33.02 | 711 |
| 30.72 | 356 |
| 31.05 | 329 |
| 42.26 | 268 |
| 10.02 | 247 |
| 42.77 | 220 |
| 25.11 | 220 |

=====

# 6
Structure and simulated powder diffraction line list of CeH11Rh5 (a crystal structure in Alexandria, relaxed with PBE; λ = 1.5418 Å (Cu Kα)).
Intensities are scaled so that the largest is 1000.

Atomic structure:
Cell lengths 6.185, 6.185, 5.115 Å; angles 92.54, 92.54, 126.76 degrees
Positions (direct):
Ce 0.000 0.000 0.000
H 0.000 0.000 0.500
H 0.108 0.656 0.668
H 0.207 0.481 0.900
H 0.344 0.892 0.332
H 0.441 0.441 0.640
H 0.481 0.207 0.900
H 0.519 0.793 0.100
H 0.559 0.559 0.360
H 0.656 0.108 0.668
H 0.793 0.519 0.100
H 0.892 0.344 0.332
Rh 0.123 0.381 0.570
Rh 0.381 0.123 0.570
Rh 0.500 0.500 0.000
Rh 0.619 0.877 0.430
Rh 0.877 0.619 0.430

Main lines, in order of falling intensity (2θ from 10° to 90°):
| 2θ/deg | I/Imax |
| --- | --- |
| 37.00 | 1000 |
| 46.51 | 613 |
| 35.46 | 602 |
| 23.76 | 577 |
| 16.03 | 522 |
| 38.64 | 433 |
| 35.27 | 398 |
| 36.41 | 199 |

=====

# 7
Structure and simulated powder diffraction line list of ZrVTe6 (a crystal structure in Alexandria, relaxed with PBE; λ = 1.5418 Å (Cu Kα)).
Intensities are scaled so that the largest is 1000.

Atomic structure:
Cell lengths 6.468, 6.811, 6.981 Å; angles 72.87, 64.46, 63.61 degrees
Positions (direct):
Zr 0.000 0.000 0.000
V 0.500 0.500 0.500
Te 0.042 0.743 0.725
Te 0.310 0.589 0.185
Te 0.403 0.125 0.673
Te 0.597 0.875 0.327
Te 0.690 0.411 0.815
Te 0.958 0.257 0.275

Main lines, in order of falling intensity (2θ from 10° to 90°):
| 2θ/deg | I/Imax |
| --- | --- |
| 27.54 | 1000 |
| 27.98 | 535 |
| 32.59 | 490 |
| 31.41 | 426 |
| 44.20 | 390 |
| 27.61 | 369 |
| 45.45 | 292 |
| 47.14 | 245 |

=====

# 8
Structure and simulated powder diffraction line list of Tl2Cd2Te3 (a crystal structure in Alexandria, relaxed with PBE; λ = 1.5418 Å (Cu Kα)).
Intensities are scaled so that the largest is 1000.

Atomic structure:
Cell lengths 11.987, 11.987, 8.058 Å; angles 109.43, 109.43, 85.18 degrees
Positions (direct):
Tl 0.069 0.931 0.750
Tl 0.216 0.784 0.250
Tl 0.307 0.477 0.926
Tl 0.477 0.307 0.426
Tl 0.523 0.693 0.574
Tl 0.693 0.523 0.074
Tl 0.784 0.216 0.750
Tl 0.931 0.069 0.250
Cd 0.041 0.585 0.386
Cd 0.139 0.297 0.132
Cd 0.297 0.139 0.632
Cd 0.415 0.959 0.114
Cd 0.585 0.041 0.886
Cd 0.703 0.861 0.368
Cd 0.861 0.703 0.868
Cd 0.959 0.415 0.614
Te 0.081 0.650 0.784
Te 0.086 0.225 0.732
Te 0.225 0.086 0.232
Te 0.266 0.519 0.337
Te 0.350 0.919 0.716
Te 0.481 0.734 0.163
Te 0.519 0.266 0.837
Te 0.650 0.081 0.284
Te 0.734 0.481 0.663
Te 0.775 0.914 0.768
Te 0.914 0.775 0.268
Te 0.919 0.350 0.216

Main lines, in order of falling intensity (2θ from 10° to 90°):
| 2θ/deg | I/Imax |
| --- | --- |
| 30.00 | 1000 |
| 37.38 | 922 |
| 22.79 | 773 |
| 28.88 | 624 |
| 23.44 | 486 |
| 31.69 | 454 |
| 30.20 | 419 |
| 33.13 | 400 |

=====

# 9
Structure and simulated powder diffraction line list of CsTbSnCl6 (a crystal structure in Alexandria, relaxed with PBE; λ = 1.5418 Å (Cu Kα)).
Intensities are scaled so that the largest is 1000.

Atomic structure:
Cell lengths 7.329, 7.329, 7.555 Å; angles 90.00, 90.00, 120.00 degrees
Positions (direct):
Cs 0.000 0.000 0.000
Tb 0.667 0.333 0.500
Sn 0.333 0.667 0.500
Cl 0.387 0.020 0.704
Cl 0.387 0.368 0.296
Cl 0.632 0.020 0.296
Cl 0.632 0.613 0.704
Cl 0.980 0.368 0.704
Cl 0.980 0.613 0.296

Main lines, in order of falling intensity (2θ from 10° to 90°):
| 2θ/deg | I/Imax |
| --- | --- |
| 18.26 | 1000 |
| 34.09 | 669 |
| 24.29 | 295 |
| 39.41 | 283 |
| 11.71 | 259 |
| 42.74 | 226 |
| 30.55 | 222 |
| 27.04 | 210 |

=====

# 10
Structure and simulated powder diffraction line list of Rb2LiPuI5 (a crystal structure in Alexandria, relaxed with PBE; λ = 1.5418 Å (Cu Kα)).
Intensities are scaled so that the largest is 1000.

Atomic structure:
Cell lengths 11.104, 11.104, 15.312 Å; angles 90.00, 90.00, 155.25 degrees
Positions (direct):
Rb 0.108 0.892 0.500
Rb 0.122 0.878 0.135
Rb 0.878 0.122 0.635
Rb 0.892 0.108 0.000
Li 0.434 0.566 0.259
Li 0.566 0.434 0.759
Pu 0.207 0.793 0.841
Pu 0.793 0.207 0.341
I 0.058 0.942 0.856
I 0.286 0.714 0.484
I 0.307 0.693 0.199
I 0.353 0.647 0.822
I 0.496 0.504 0.105
I 0.504 0.496 0.605
I 0.647 0.353 0.322
I 0.693 0.307 0.699
I 0.714 0.286 0.984
I 0.942 0.058 0.356

Main lines, in order of falling intensity (2θ from 10° to 90°):
| 2θ/deg | I/Imax |
| --- | --- |
| 25.92 | 1000 |
| 25.30 | 504 |
| 30.22 | 346 |
| 42.04 | 319 |
| 36.54 | 248 |
| 14.16 | 220 |
| 35.09 | 216 |
| 37.80 | 215 |

=====

# 11
Structure and simulated powder diffraction line list of NaSr4Fe10As10 (a crystal structure in Alexandria, relaxed with PBE; λ = 1.5418 Å (Cu Kα)).
Intensities are scaled so that the largest is 1000.

Atomic structure:
Cell lengths 8.538, 8.538, 8.538 Å; angles 117.72, 117.72, 93.99 degrees
Positions (direct):
Na 0.000 0.000 0.000
Sr 0.198 0.396 0.594
Sr 0.396 0.802 0.198
Sr 0.604 0.198 0.802
Sr 0.802 0.604 0.406
Fe 0.051 0.351 0.900
Fe 0.151 0.051 0.700
Fe 0.250 0.750 0.500
Fe 0.351 0.451 0.300
Fe 0.451 0.151 0.100
Fe 0.549 0.849 0.900
Fe 0.649 0.549 0.700
Fe 0.750 0.250 0.500
Fe 0.849 0.949 0.300
Fe 0.949 0.649 0.100
As 0.046 0.445 0.199
As 0.153 0.954 0.399
As 0.246 0.847 0.801
As 0.354 0.354 0.000
As 0.445 0.246 0.399
As 0.555 0.754 0.601
As 0.646 0.646 0.000
As 0.754 0.153 0.199
As 0.847 0.046 0.601
As 0.954 0.555 0.801

Main lines, in order of falling intensity (2θ from 10° to 90°):
| 2θ/deg | I/Imax |
| --- | --- |
| 32.34 | 1000 |
| 45.96 | 462 |
| 57.31 | 376 |
| 35.66 | 376 |
| 57.85 | 343 |
| 44.98 | 252 |
| 15.21 | 245 |
| 67.03 | 143 |